Starting from DFT lattice parameters and positions (GGA-PBE), the powder XRD pattern of CsCeF5 was simulated for Cu Kα.
Intensities are scaled so that the largest is 100.

The 10 most intense peaks (5° ≤ 2θ ≤ 70°), by intensity:
| 2theta | I/Imax | (hkl) |
| --- | --- | --- |
| 24.4 | 100 | 0 4 0 |
| 25.0 | 72 | 2 2 0 |
| 26.1 | 25 | 2 0 -2 |
| 48.8 | 23 | 1 4 -4 |
| 27.0 | 20 | 1 1 2 |
| 43.3 | 18 | 2 6 0 |
| 21.3 | 18 | 1 3 0 |
| 41.5 | 15 | 1 0 -4 |
| 28.0 | 15 | 1 3 -2 |
| 36.0 | 15 | 2 4 -2 |

Atomic structure:
Cell: 8.4737 14.5841 8.6981 Å, 90.00 105.36 90.00°
Fractional coordinates of all 56 atoms:
Cs 0.2232 0.0257 0.2956
Cs 0.2232 0.4743 0.7956
Cs 0.2650 0.0273 0.7868
Cs 0.2650 0.4727 0.2868
Cs 0.7350 0.5273 0.7132
Cs 0.7350 0.9727 0.2132
Cs 0.7768 0.5257 0.2044
Cs 0.7768 0.9743 0.7044
Ce 0.0560 0.7460 0.5365
Ce 0.0560 0.7540 0.0365
Ce 0.4803 0.7440 0.3848
Ce 0.4803 0.7560 0.8848
Ce 0.5197 0.2440 0.1152
Ce 0.5197 0.2560 0.6152
Ce 0.9440 0.2460 0.9635
Ce 0.9440 0.2540 0.4635
F 0.0058 0.6106 0.9787
F 0.0058 0.8894 0.4787
F 0.0144 0.1050 0.9472
F 0.0144 0.3950 0.4472
F 0.0209 0.2145 0.2371
F 0.0209 0.2855 0.7371
F 0.2285 0.2480 0.5396
F 0.2285 0.2520 0.0396
F 0.2377 0.6799 0.7912
F 0.2377 0.8201 0.2912
F 0.2740 0.6691 0.4743
F 0.2740 0.8309 0.9743
F 0.2966 0.6736 0.1539
F 0.2966 0.8264 0.6539
F 0.4351 0.2279 0.8407
F 0.4351 0.2721 0.3407
F 0.4436 0.1014 0.1112
F 0.4436 0.3986 0.6112
F 0.4664 0.1113 0.5739
F 0.4664 0.3887 0.0739
F 0.5336 0.6113 0.9261
F 0.5336 0.8887 0.4261
F 0.5564 0.6014 0.3888
F 0.5564 0.8986 0.8888
F 0.5649 0.7279 0.6593
F 0.5649 0.7721 0.1593
F 0.7034 0.1736 0.3461
F 0.7034 0.3264 0.8461
F 0.7260 0.1691 0.0257
F 0.7260 0.3309 0.5257
F 0.7623 0.1799 0.7088
F 0.7623 0.3201 0.2088
F 0.7715 0.7480 0.9604
F 0.7715 0.7520 0.4604
F 0.9791 0.7145 0.2629
F 0.9791 0.7855 0.7629
F 0.9856 0.6050 0.5528
F 0.9856 0.8950 0.0528
F 0.9942 0.1106 0.5213
F 0.9942 0.3894 0.0213